[1]
Calculated powder diffractogram of HoEr5Sc2 for Cu Kα (λ = 1.5418 Å), from DFT lattice parameters and positions (PBE).
Kinematic intensities with the Lorentz-polarization factor, no thermal factor.

Cell and atoms:
a b c (Å): 8.6972 8.6972 12.3666
angles (deg): 90.00 90.00 90.00
Space group I4/mcm (No. 140)
Asymmetric unit:
Ho: 0.0000 0.0000 0.2500 x4
Er: 0.0000 0.0000 0.0000 x4
Er: 0.1514 0.3486 0.1582 x16
Sc: 0.1423 0.3577 0.5000 x8

The 10 most intense peaks (2θ from 15° to 90°), by intensity:
hkl, two_theta, I/Imax
2 1 3, 31.63, 100
3 1 0, 32.56, 79
1 1 4, 32.41, 28
2 1 1, 23.98, 26
2 0 4, 35.64, 25
5 2 3, 61.68, 22
3 3 4, 53.66, 19
4 2 0, 46.70, 16
2 2 0, 29.04, 15
4 0 4, 51.38, 14


[2]
Calculated powder diffractogram of Tl3SbS4 for Cu Kα (λ = 1.5418 Å), from DFT lattice parameters and positions (PBE).
Kinematic intensities with the Lorentz-polarization factor, no thermal factor.

Cell and atoms:
a b c (Å): 9.5172 11.1276 9.5346
angles (deg): 90.00 90.00 90.00
Space group Pnma (No. 62)
Asymmetric unit:
Tl: 0.0860 0.2500 0.1054 x4
Tl: 0.0868 0.5566 0.3070 x8
Sb: 0.2111 0.2500 0.5261 x4
S: 0.0151 0.7500 0.5746 x4
S: 0.1563 0.5779 0.9664 x8
S: 0.1798 0.2500 0.7741 x4

The 10 most intense peaks (2θ from 15° to 90°), by intensity:
hkl, two_theta, I/Imax
2 3 0, 30.56, 100
2 0 1, 20.86, 97
3 1 1, 30.75, 74
1 2 2, 26.35, 68
3 2 2, 37.69, 68
0 3 1, 25.77, 62
1 1 2, 22.34, 60
0 2 2, 24.59, 59
1 2 3, 33.82, 51
4 0 1, 39.00, 41